# Li2FeF4
Computed X-ray diffraction stick pattern, Cu Ka. Input: DFT lattice parameters and positions (GGA+U).
Kinematic intensities with the Lorentz-polarization factor, no thermal factor.

Structural model:
```
data_Li2FeF4
_chemical_formula_sum 'Li16 Fe8 F32'
_cell_length_a 5.101
_cell_length_b 10.027
_cell_length_c 12.526
_cell_angle_alpha 90.00
_cell_angle_beta 90.00
_cell_angle_gamma 90.00
_symmetry_space_group_name_H-M 'P n n 2'
_symmetry_Int_Tables_number 34
_symmetry_space_group_name_Hall 'P 2 -2n'
loop_
_atom_site_label
_atom_site_type_symbol
_atom_site_fract_x
_atom_site_fract_y
_atom_site_fract_z
_atom_site_occupancy
Li1 Li 0.000 0.000 0.000 1
Li2 Li 0.000 0.000 0.293 1
Li3 Li 0.000 0.000 0.631 1
Li4 Li 0.000 0.500 0.375 1
Li5 Li 0.019 0.248 0.501 1
Li6 Li 0.019 0.704 0.157 1
Fe1 Fe 0.000 0.500 0.659 1
Fe2 Fe 0.000 0.500 0.948 1
Fe3 Fe 0.021 0.230 0.810 1
F1 F 0.168 0.841 0.673 1
F2 F 0.176 0.615 0.281 1
F3 F 0.187 0.599 0.807 1
F4 F 0.200 0.602 0.542 1
F5 F 0.203 0.873 0.189 1
F6 F 0.213 0.867 0.922 1
F7 F 0.228 0.858 0.419 1
F8 F 0.230 0.610 0.050 1
```

The 10 most intense peaks (2θ from 10° to 90°), in order of rising 2θ:
index	two_theta	I_rel
0 1 1	11.30	34
0 0 2	14.14	24
1 0 1	18.78	100
1 1 0	19.53	33
0 2 2	22.72	34
0 3 1	27.62	23
1 2 3	32.98	88
1 2 4	38.20	77
2 2 4	49.55	27
2 4 0	51.09	46

=====

# LiFeP3O9
Computed X-ray diffraction stick pattern, Cu Ka. Input: DFT lattice parameters and positions (GGA+U).
Kinematic intensities with the Lorentz-polarization factor, no thermal factor.

Structural model:
```
data_LiFeP3O9
_chemical_formula_sum 'Li4 Fe4 P12 O36'
_cell_length_a 5.321
_cell_length_b 10.696
_cell_length_c 12.082
_cell_angle_alpha 90.00
_cell_angle_beta 90.00
_cell_angle_gamma 90.00
_symmetry_space_group_name_H-M 'P 21 21 21'
_symmetry_Int_Tables_number 19
_symmetry_space_group_name_Hall 'P 2ac 2ab'
loop_
_atom_site_label
_atom_site_type_symbol
_atom_site_fract_x
_atom_site_fract_y
_atom_site_fract_z
_atom_site_occupancy
Li1 Li 0.104 0.112 0.082 1
Fe1 Fe 0.093 0.469 0.132 1
P1 P 0.078 0.194 0.820 1
P2 P 0.108 0.849 0.861 1
P3 P 0.121 0.574 0.875 1
O1 O 0.004 0.990 0.541 1
O2 O 0.044 0.439 0.572 1
O3 O 0.066 0.319 0.746 1
O4 O 0.084 0.088 0.724 1
O5 O 0.122 0.715 0.924 1
O6 O 0.132 0.117 0.323 1
O7 O 0.132 0.463 0.325 1
O8 O 0.162 0.687 0.614 1
O9 O 0.176 0.812 0.379 1
```

The 10 most intense peaks (2θ from 10° to 90°), in order of rising 2θ:
index	two_theta	I_rel
0 0 2	14.66	40
0 1 2	16.86	100
1 0 1	18.19	99
1 1 1	20.04	61
1 2 1	24.73	81
0 3 2	29.05	54
0 0 4	29.57	69
1 3 0	30.17	33
1 3 1	31.09	62
2 0 0	33.70	60

=====

# Li3Fe3P4O16
Computed X-ray diffraction stick pattern, Cu Ka. Input: DFT lattice parameters and positions (GGA+U).
Kinematic intensities with the Lorentz-polarization factor, no thermal factor.

Structural model:
```
data_Li3Fe3P4O16
_chemical_formula_sum 'Li6 Fe6 P8 O32'
_cell_length_a 7.755
_cell_length_b 8.132
_cell_length_c 10.154
_cell_angle_alpha 90.00
_cell_angle_beta 95.29
_cell_angle_gamma 90.00
_symmetry_space_group_name_H-M 'P 1 21 1'
_symmetry_Int_Tables_number 4
_symmetry_space_group_name_Hall 'P 2yb'
loop_
_atom_site_label
_atom_site_type_symbol
_atom_site_fract_x
_atom_site_fract_y
_atom_site_fract_z
_atom_site_occupancy
Li1 Li 0.137 0.000 0.079 1
Li2 Li 0.159 0.002 0.584 1
Li3 Li 0.346 0.270 0.664 1
Fe1 Fe 0.223 0.624 0.621 1
Fe2 Fe 0.238 0.656 0.131 1
Fe3 Fe 0.352 0.278 0.170 1
P1 P 0.049 0.825 0.360 1
P2 P 0.049 0.837 0.854 1
P3 P 0.445 0.452 0.396 1
P4 P 0.450 0.441 0.889 1
O1 O 0.002 0.504 0.599 1
O2 O 0.010 0.509 0.103 1
O3 O 0.104 0.211 0.654 1
O4 O 0.111 0.218 0.155 1
O5 O 0.132 0.829 0.723 1
O6 O 0.136 0.837 0.227 1
O7 O 0.181 0.775 0.968 1
O8 O 0.192 0.770 0.470 1
O9 O 0.306 0.501 0.277 1
O10 O 0.308 0.500 0.784 1
O11 O 0.353 0.445 0.524 1
O12 O 0.374 0.436 0.027 1
O13 O 0.398 0.068 0.097 1
O14 O 0.401 0.064 0.593 1
O15 O 0.482 0.772 0.151 1
O16 O 0.491 0.274 0.344 1
```

The 10 most intense peaks (2θ from 10° to 90°), in order of rising 2θ:
index	two_theta	I_rel
1 1 0	15.83	100
1 0 -2	20.09	39
1 0 2	21.88	59
1 1 -2	22.90	81
1 1 2	24.50	44
2 1 0	25.53	90
1 2 -2	29.86	66
2 2 0	31.96	33
0 3 2	37.66	39
4 1 -2	50.24	33

=====

# RbLuW2O8
Computed X-ray diffraction stick pattern, Cu Ka. Input: DFT lattice parameters and positions (GGA+U).
Kinematic intensities with the Lorentz-polarization factor, no thermal factor.

Structural model:
```
data_RbLuW2O8
_chemical_formula_sum 'Rb4 Lu4 W8 O32'
_cell_length_a 9.037
_cell_length_b 10.316
_cell_length_c 8.008
_cell_angle_alpha 90.00
_cell_angle_beta 99.21
_cell_angle_gamma 90.00
_symmetry_space_group_name_H-M 'P 1 21/c 1'
_symmetry_Int_Tables_number 14
_symmetry_space_group_name_Hall '-P 2ybc'
loop_
_atom_site_label
_atom_site_type_symbol
_atom_site_fract_x
_atom_site_fract_y
_atom_site_fract_z
_atom_site_occupancy
Rb1 Rb 0.012 0.213 0.073 1
Lu1 Lu 0.440 0.223 0.978 1
W1 W 0.281 0.510 0.214 1
W2 W 0.338 0.511 0.821 1
O1 O 0.105 0.587 0.150 1
O2 O 0.170 0.588 0.732 1
O3 O 0.233 0.131 0.837 1
O4 O 0.276 0.105 0.497 1
O5 O 0.347 0.138 0.193 1
O6 O 0.368 0.616 0.388 1
O7 O 0.411 0.603 0.048 1
O8 O 0.492 0.611 0.742 1
```

The 10 most intense peaks (2θ from 10° to 90°), in order of rising 2θ:
index	two_theta	I_rel
2 2 0	26.42	100
2 0 -2	27.66	62
0 3 1	28.30	28
0 2 2	28.45	99
1 2 2	31.38	20
0 4 0	34.79	48
3 1 1	35.00	19
0 1 3	35.15	19
2 4 -2	45.01	25
3 1 3	50.62	23

=====

# Lu2CoTe2S2O14
Computed X-ray diffraction stick pattern, Cu Ka. Input: DFT lattice parameters and positions (GGA+U).
Kinematic intensities with the Lorentz-polarization factor, no thermal factor.

Structural model:
```
data_Lu2CoTe2S2O14
_chemical_formula_sum 'Lu2 Co1 Te2 S2 O14'
_cell_length_a 5.427
_cell_length_b 8.076
_cell_length_c 8.114
_cell_angle_alpha 112.83
_cell_angle_beta 107.38
_cell_angle_gamma 96.64
_symmetry_space_group_name_H-M 'P -1'
_symmetry_Int_Tables_number 2
_symmetry_space_group_name_Hall '-P 1'
loop_
_atom_site_label
_atom_site_type_symbol
_atom_site_fract_x
_atom_site_fract_y
_atom_site_fract_z
_atom_site_occupancy
Lu1 Lu 0.162 0.233 0.026 1
Co1 Co 0.500 0.500 0.500 1
Te1 Te 0.132 0.768 0.652 1
S1 S 0.419 0.718 0.226 1
O1 O 0.100 0.421 0.335 1
O2 O 0.127 0.929 0.895 1
O3 O 0.209 0.822 0.228 1
O4 O 0.291 0.524 0.072 1
O5 O 0.369 0.188 0.814 1
O6 O 0.454 0.702 0.741 1
O7 O 0.457 0.280 0.583 1
```

The 10 most intense peaks (2θ from 10° to 90°), in order of rising 2θ:
index	two_theta	I_rel
0 0 1	12.77	29
0 1 -1	13.22	66
1 -1 1	23.43	100
0 2 0	24.80	80
1 1 -2	24.90	35
1 0 -2	25.18	30
1 2 -2	30.34	42
-1 1 2	31.04	36
1 1 1	32.84	40
1 -3 1	35.85	34

=====

# MgV2O4
Computed X-ray diffraction stick pattern, Cu Ka. Input: DFT lattice parameters and positions (GGA+U).
Kinematic intensities with the Lorentz-polarization factor, no thermal factor.

Structural model:
a b c (Å): 8.576 8.576 8.576
angles (deg): 90.00 90.00 90.00
Space group Fd-3m (No. 227, origin choice 2)
Unique sites:
Mg 0.125 0.125 0.125
V 0.000 0.000 0.500
O 0.010 0.010 0.740

The 10 most intense peaks (2θ from 10° to 90°), in order of rising 2θ:
index	two_theta	I_rel
1 1 1	17.92	65
2 2 0	29.46	13
3 1 1	34.69	100
2 2 2	36.29	9
4 0 0	42.15	59
5 1 1	55.69	39
4 4 0	61.13	61
5 3 3	72.24	10
4 4 4	77.05	9
5 5 3	87.34	16